Starting from a GGA+U-relaxed structure, the powder diffraction line list of Li4Mn3NiP4O16 was simulated for Cu Kα (λ = 1.5418 Å).
Lines closer than 0.1° are merged.

Top 10 peaks for 2θ from 10° to 90°, low angle first:
| 2θ (°) | I (rel.) | h k l |
| --- | --- | --- |
| 17.00 | 28 | 0 0 2 |
| 20.48 | 54 | 1 0 1 |
| 25.19 | 77 | 1 1 1 |
| 29.28 | 75 | 0 2 0 |
| 31.85 | 23 | 1 0 3 |
| 35.16 | 100 | 1 1 -3 |
| 35.99 | 29 | 1 2 1 |
| 37.50 | 19 | 0 1 4 |
| 51.72 | 35 | 2 2 -2 |
| 55.80 | 24 | 1 3 -3 |

Structural model:
```
data_Li4Mn3NiP4O16
_space_group_name_H-M_alt 'P 1 m 1'
_space_group_IT_number 6
_cell_length_a 4.7682
_cell_length_b 6.1014
_cell_length_c 10.4329
_cell_angle_alpha 90.00
_cell_angle_beta 90.10
_cell_angle_gamma 90.00
loop_
_space_group_symop_operation_xyz
'x,y,z'
'x,-y,z'
loop_
_atom_site_label
_atom_site_fract_x
_atom_site_fract_y
_atom_site_fract_z
Li1 0.0000 0.2500 0.0000
Li2 0.4987 0.2495 0.5032
Mn1 0.4734 0.0000 0.2213
Mn2 0.5272 0.5000 0.7804
Mn3 0.9718 0.5000 0.2839
Ni1 0.0191 0.0000 0.7233
P1 0.0864 0.5000 0.5949
P2 0.4090 0.5000 0.0929
P3 0.5918 0.0000 0.9045
P4 0.9124 0.0000 0.4132
O1 0.2131 0.5000 0.4574
O2 0.2172 0.2950 0.6646
O3 0.2341 0.0000 0.4060
O4 0.2694 0.0000 0.8984
O5 0.2751 0.2977 0.1625
O6 0.2873 0.5000 0.9547
O7 0.7080 0.0000 0.0439
O8 0.7313 0.5000 0.0969
O9 0.7321 0.2010 0.8355
O10 0.7641 0.5000 0.5962
O11 0.7757 0.2014 0.3431
O12 0.7950 0.0000 0.5523
```